CsK4Au4: simulated powder X-ray diffraction pattern (Cu Kα (λ = 1.5418 Å)), based on the PBE geometry in Alexandria.
Kinematic intensities with the Lorentz-polarization factor, no thermal factor.

Structural model:
Cell: 8.555 8.555 9.837 Å, 90.00 90.00 90.00°
Space group P4_2/n (No. 86, origin choice 2)
Unique sites:
Cs 0.250 0.250 0.250
K 0.018 0.682 0.128
Au 0.007 0.668 0.471

The 10 most intense peaks (10° ≤ 2θ ≤ 80°), in order of rising 2θ:
| Position (°2θ) | d (Å) | I/Imax |
| --- | --- | --- |
| 17.2 | 5.153 | 87 |
| 18.0 | 4.919 | 63 |
| 22.7 | 3.923 | 100 |
| 25.0 | 3.566 | 52 |
| 31.0 | 2.883 | 29 |
| 33.1 | 2.705 | 86 |
| 34.5 | 2.603 | 63 |
| 34.8 | 2.576 | 36 |
| 38.0 | 2.370 | 70 |
| 45.9 | 1.975 | 31 |